# Li2PuAsO8
Computed PXRD pattern, Cu Kα (λ = 1.5418 Å). Input: a structure optimized by DFT (GGA-PBE).

Peak list (6 most intense, 5° ≤ 2θ ≤ 70°, in order of rising 2θ)
18.42°, I 100; 28.58°, I 29; 31.14°, I 39; 34.22°, I 29; 38.52°, I 22; 52.25°, I 24

Structural model:
a b c (Å): 5.8135 5.8135 5.8135
angles (deg): 115.01 115.01 98.89
Fractional positions:
Li 0.0000 0.0000 0.0000
Li 0.7500 0.2500 0.5000
Pu 0.2500 0.7500 0.5000
As 0.5000 0.5000 0.0000
O 0.0055 0.7970 0.2085
O 0.1676 0.4404 0.7272
O 0.2030 0.4115 0.2085
O 0.2030 0.9945 0.7915
O 0.5596 0.2868 0.7272
O 0.5596 0.8324 0.2728
O 0.5885 0.7970 0.7915
O 0.7132 0.4404 0.2728


# BaAc3Tl2
Computed PXRD pattern, Cu Kα (λ = 1.5418 Å). Input: a structure optimized by DFT (GGA-PBE).

Peak list (6 most intense, 5° ≤ 2θ ≤ 70°, in order of rising 2θ)
25.97°, I 100; 27.43°, I 74; 30.91°, I 51; 33.12°, I 58; 35.01°, I 39; 48.99°, I 22

Structural model:
a b c (Å): 5.4070 10.2728 8.8649
angles (deg): 90.00 90.00 90.00
Fractional positions:
Ba 0.0000 0.0784 0.0000
Ba 0.0000 0.9216 0.5000
Ac 0.0000 0.3289 0.6137
Ac 0.0000 0.6711 0.1137
Ac 0.5000 0.1795 0.3331
Ac 0.5000 0.4241 0.9472
Ac 0.5000 0.5759 0.4472
Ac 0.5000 0.8205 0.8331
Tl 0.0000 0.3661 0.2287
Tl 0.0000 0.6339 0.7287
Tl 0.5000 0.1398 0.7215
Tl 0.5000 0.8602 0.2215